Theoretical powder diffractogram of AcHfS3 for Cu Kα, 1.54184 Å, from a structure optimized by DFT (PBE).
No peak broadening, texture or thermal motion is included.

Crystal structure
```
data_AcHfS3
_chemical_formula_sum 'Ac2 Hf2 S6'
_cell_length_a 4.846
_cell_length_b 9.462
_cell_length_c 9.462
_cell_angle_alpha 138.31
_cell_angle_beta 90.00
_cell_angle_gamma 90.00
_space_group_name_H-M_alt 'P 1'
_space_group_IT_number 1
_space_group_name_Hall 'P 1'
loop_
_atom_site_label
_atom_site_fract_x
_atom_site_fract_y
_atom_site_fract_z
Ac1 0.250 0.163 0.837
Ac2 0.750 0.837 0.163
Hf1 0.250 0.385 0.524
Hf2 0.750 0.524 0.385
S1 0.250 0.066 0.462
S2 0.250 0.424 0.289
S3 0.250 0.710 0.899
S4 0.750 0.289 0.424
S5 0.750 0.462 0.066
S6 0.750 0.899 0.710
```

Main lines, in order of falling intensity (10° ≤ 2θ ≤ 90°):
2theta	I (rel.)
20.03	100.0
23.17	98.1
27.29	74.6
38.40	55.0
42.52	42.4
26.48	32.9
37.10	29.4
38.04	25.2
44.80	19.1
54.19	18.3